No. 1
# Nd3Sm2Ho3
Calculated PXRD pattern, Cu Kα X-rays. Input: a cell relaxed with PBE.
Kinematic intensities with the Lorentz-polarization factor, no thermal factor.

Structure:
Lattice parameters (Å, degrees): 5.616 16.099 6.617 90.00 115.05 90.00
Space group P2_1/m (No. 11)
Unique sites:
Nd 0.075 0.094 0.150 [4 per cell]
Nd 0.266 0.250 0.532 [2 per cell]
Sm 0.221 0.628 0.442 [4 per cell]
Ho 0.381 0.050 0.761 [4 per cell]
Ho 0.458 0.750 0.919 [2 per cell]

Main lines, in order of falling intensity (2θ from 10° to 90°):
hkl	2θ (°)	Rel. int.
1 3 1	32.15	100
2 0 -1	31.86	64
1 4 0	28.28	40
1 5 -1	32.92	38
3 3 0	56.96	20
0 1 2	30.33	16
2 2 -3	45.68	13
2 1 1	44.57	11
0 6 0	33.40	11
3 5 -2	57.44	11

No. 2
# Nd4Sm2Ho5
Calculated PXRD pattern, Cu Kα X-rays. Input: a cell relaxed with PBE.
Kinematic intensities with the Lorentz-polarization factor, no thermal factor.

Structure:
Lattice parameters (Å, degrees): 19.297 5.706 6.646 90.00 91.03 90.00
Space group C2/m (No. 12)
Unique sites:
Nd 0.022 0.000 0.283 [4 per cell]
Nd 0.195 0.500 0.077 [4 per cell]
Sm 0.098 0.500 0.553 [4 per cell]
Ho 0.000 0.500 0.000 [2 per cell]
Ho 0.131 0.000 0.891 [4 per cell]
Ho 0.209 0.000 0.400 [4 per cell]

Main lines, in order of falling intensity (2θ from 10° to 90°):
hkl	2θ (°)	Rel. int.
0 2 0	31.40	100
5 1 1	31.23	69
6 0 -1	30.67	25
6 2 -1	44.43	18
5 1 -1	30.86	15
5 3 1	55.73	13
1 3 -2	55.86	12
4 2 3	56.18	11
4 0 3	45.36	10
11 1 -2	61.52	8

No. 3
# Nd3SmHo8
Calculated PXRD pattern, Cu Kα X-rays. Input: a cell relaxed with PBE.
Kinematic intensities with the Lorentz-polarization factor, no thermal factor.

Structure:
Lattice parameters (Å, degrees): 8.725 8.725 11.330 90.00 90.00 90.00
Space group I-42m (No. 121)
Unique sites:
Nd 0.000 0.000 0.000 [2 per cell]
Nd 0.000 0.500 0.250 [4 per cell]
Sm 0.000 0.000 0.500 [2 per cell]
Ho 0.126 0.126 0.252 [8 per cell]
Ho 0.248 0.248 0.505 [8 per cell]

Main lines, in order of falling intensity (2θ from 10° to 90°):
hkl	2θ (°)	Rel. int.
3 1 2	36.21	100
2 2 0	28.94	83
0 0 4	31.59	77
2 1 1	24.12	73
4 0 2	44.50	72
2 2 2	33.04	66
2 0 2	25.78	60
2 2 4	43.37	55
4 4 4	69.38	32
1 1 0	14.36	31

No. 4
# Nd2Sm12Ho5
Calculated PXRD pattern, Cu Kα X-rays. Input: a cell relaxed with PBE.
Kinematic intensities with the Lorentz-polarization factor, no thermal factor.

Structure:
Lattice parameters (Å, degrees): 15.994 10.123 7.935 90.00 90.63 90.00
Space group C2/m (No. 12)
Unique sites:
Nd 0.000 0.225 0.000 [4 per cell]
Sm 0.052 0.500 0.710 [4 per cell]
Sm 0.106 0.274 0.390 [8 per cell]
Sm 0.159 0.000 0.122 [4 per cell]
Sm 0.193 0.233 0.794 [8 per cell]
Ho 0.000 0.000 0.500 [2 per cell]
Ho 0.148 0.500 0.084 [4 per cell]
Ho 0.247 0.000 0.491 [4 per cell]

Main lines, in order of falling intensity (2θ from 10° to 90°):
hkl	2θ (°)	Rel. int.
4 2 -1	30.55	100
2 2 2	30.83	75
2 0 -3	35.64	53
0 4 0	35.47	33
2 4 -3	51.17	32
6 2 -4	60.70	31
0 2 5	61.22	25
1 3 1	29.31	18
8 0 -2	50.92	13
4 0 4	51.66	11

No. 5
# Nd2Sm5Ho2
Calculated PXRD pattern, Cu Kα X-rays. Input: a cell relaxed with PBE.
Kinematic intensities with the Lorentz-polarization factor, no thermal factor.

Structure:
Lattice parameters (Å, degrees): 12.595 6.005 9.757 90.00 125.24 90.00
Space group C2/m (No. 12)
Unique sites:
Nd 0.047 0.000 0.214 [4 per cell]
Sm 0.000 0.500 0.000 [2 per cell]
Sm 0.119 0.500 0.452 [4 per cell]
Sm 0.215 0.500 0.879 [4 per cell]
Ho 0.165 0.000 0.665 [4 per cell]

Main lines, in order of falling intensity (2θ from 10° to 90°):
hkl	2θ (°)	Rel. int.
3 1 -3	32.03	100
0 2 0	29.74	61
4 2 -1	42.55	23
3 3 -3	54.20	23
1 3 2	54.28	22
2 2 -5	58.51	13
4 4 -1	70.02	10
3 5 -3	86.74	9
2 0 -5	49.12	8
0 4 0	61.75	7

No. 6
# NdSm2Ho7
Calculated PXRD pattern, Cu Kα X-rays. Input: a cell relaxed with PBE.
Kinematic intensities with the Lorentz-polarization factor, no thermal factor.

Structure:
Lattice parameters (Å, degrees): 6.162 7.117 7.952 77.14 75.11 73.25
Space group P-1 (No. 2)
Unique sites:
Nd 0.000 0.000 0.000 [1 per cell]
Sm 0.200 0.300 0.600 [2 per cell]
Ho 0.000 0.500 0.000 [1 per cell]
Ho 0.200 0.800 0.600 [2 per cell]
Ho 0.400 0.100 0.200 [2 per cell]
Ho 0.401 0.600 0.200 [2 per cell]

Main lines, in order of falling intensity (2θ from 10° to 90°):
hkl	2θ (°)	Rel. int.
2 0 1	30.78	100
2 2 0	35.69	51
4 2 1	61.08	43
3 2 3	51.36	36
5 0 0	83.77	13
4 0 2	64.11	12
5 4 3	86.52	10
5 2 -1	86.46	7
4 4 0	75.59	6
5 2 4	83.86	4

No. 7
# NdSm3Ho7
Calculated PXRD pattern, Cu Kα X-rays. Input: a cell relaxed with PBE.
Kinematic intensities with the Lorentz-polarization factor, no thermal factor.

Structure:
Lattice parameters (Å, degrees): 6.960 5.534 9.986 90.00 109.98 90.00
Space group P2/m (No. 10)
Unique sites:
Nd 0.000 0.000 0.000 [1 per cell]
Sm 0.282 0.500 0.498 [2 per cell]
Sm 0.500 0.000 0.000 [1 per cell]
Ho 0.000 0.000 0.500 [1 per cell]
Ho 0.147 0.500 0.789 [2 per cell]
Ho 0.320 0.500 0.140 [2 per cell]
Ho 0.420 0.000 0.330 [2 per cell]

Main lines, in order of falling intensity (2θ from 10° to 90°):
hkl	2θ (°)	Rel. int.
2 1 -2	31.90	100
0 1 3	32.89	84
2 1 0	31.78	84
0 2 0	32.36	84
1 1 -3	31.61	43
1 1 2	31.47	39
2 3 0	57.38	30
2 0 -3	32.13	25
0 3 3	58.05	24
4 2 -2	63.12	22

No. 8
# Nd5Sm4Ho4
Calculated PXRD pattern, Cu Kα X-rays. Input: a cell relaxed with PBE.
Kinematic intensities with the Lorentz-polarization factor, no thermal factor.

Structure:
Lattice parameters (Å, degrees): 13.065 13.065 5.098 90.00 90.00 90.00
Space group I4/m (No. 87)
Unique sites:
Nd 0.000 0.000 0.000 [2 per cell]
Nd 0.040 0.193 0.500 [8 per cell]
Sm 0.077 0.384 0.000 [8 per cell]
Ho 0.155 0.768 0.000 [8 per cell]

Main lines, in order of falling intensity (2θ from 10° to 90°):
hkl	2θ (°)	Rel. int.
3 2 1	30.26	100
1 5 0	35.02	34
8 1 1	59.89	29
1 5 2	50.50	24
0 0 2	35.21	17
3 2 3	60.14	14
6 4 2	62.94	12
6 4 0	50.37	12
8 1 3	82.20	12
9 6 1	81.98	6